1.
Theoretical PXRD pattern
Compound: Cs3RuF7
Radiation: Cu Kα
Structure: a cell relaxed with PBE
Kinematic intensities with the Lorentz-polarization factor, no thermal factor.

Crystal structure
```
Cs3RuF7
1.0
8.652 0.000 0.000
0.000 8.652 0.000
0.000 0.000 6.394
Cs Ru F
6 2 14
Cartesian
0.000 0.000 0.000 Cs
1.660 2.666 3.197 Cs
2.666 6.992 3.197 Cs
4.326 4.326 0.000 Cs
5.986 1.660 3.197 Cs
6.992 5.986 3.197 Cs
0.000 4.326 0.000 Ru
4.326 0.000 0.000 Ru
0.000 0.000 3.197 F
0.960 5.286 1.407 F
0.960 5.286 4.988 F
1.386 2.940 0.000 F
2.940 7.266 0.000 F
3.366 0.960 1.407 F
3.366 0.960 4.988 F
4.326 4.326 3.197 F
5.286 7.692 1.407 F
5.286 7.692 4.988 F
5.712 1.386 0.000 F
7.266 5.712 0.000 F
7.692 3.366 1.407 F
7.692 3.366 4.988 F
```

Peak list (12 most intense, 10 to 90 degrees two-theta, low angle first)
23.0°, d = 3.869 Å, rel. 16, (2 1 0); 24.8°, d = 3.583 Å, rel. 100, (2 0 1); 26.9°, d = 3.310 Å, rel. 21, (2 1 1); 27.9°, d = 3.197 Å, rel. 28, (0 0 2); 29.2°, d = 3.059 Å, rel. 36, (2 2 0); 32.7°, d = 2.736 Å, rel. 10, (3 1 0); 36.5°, d = 2.465 Å, rel. 27, (2 1 2); 40.8°, d = 2.210 Å, rel. 28, (2 2 2); 43.1°, d = 2.098 Å, rel. 12, (4 1 0); 45.5°, d = 1.994 Å, rel. 11, (4 1 1); 47.6°, d = 1.912 Å, rel. 16, (2 0 3); 49.2°, d = 1.852 Å, rel. 12, (4 2 1)

=====

2.
Theoretical PXRD pattern
Compound: MgIn2Co
Radiation: Cu Kα
Structure: a cell relaxed with PBE
Kinematic intensities with the Lorentz-polarization factor, no thermal factor.

Crystal structure
```
MgIn2Co
1.0
3.099 0.000 0.000
0.000 3.099 0.000
0.000 0.000 8.211
Mg In Co
1 2 1
Cartesian
0.000 0.000 0.000 Mg
0.000 0.000 3.074 In
1.549 1.549 5.726 In
1.549 1.549 1.545 Co
```

Peak list (12 most intense, 10 to 90 degrees two-theta, low angle first)
10.8°, d = 8.211 Å, rel. 32, (0 0 1); 21.6°, d = 4.105 Å, rel. 15, (0 0 2); 30.8°, d = 2.899 Å, rel. 39, (1 0 1); 32.7°, d = 2.737 Å, rel. 15, (0 0 3); 36.3°, d = 2.473 Å, rel. 100, (1 0 2); 41.2°, d = 2.191 Å, rel. 45, (1 1 0); 44.1°, d = 2.052 Å, rel. 11, (0 0 4); 53.6°, d = 1.711 Å, rel. 33, (1 0 4); 59.7°, d = 1.549 Å, rel. 14, (2 0 0); 64.2°, d = 1.451 Å, rel. 10, (1 0 5); 71.9°, d = 1.313 Å, rel. 27, (2 1 2); 84.3°, d = 1.149 Å, rel. 9, (2 1 4)